No. 1
# Zr2Np
Computed powder diffraction line list, copper Kα. Input: a DFT-relaxed cell (PBE, the Materials Project).
Intensities are scaled so that the largest is 100.

The 10 most intense peaks (2θ from 10° to 90°), by intensity:
34.26 deg, I = 100, hkl 1 1 0; 37.65 deg, I = 94, hkl 1 0 1; 63.59 deg, I = 41, hkl 2 1 1; 19.58 deg, I = 41, hkl 1 0 0; 51.81 deg, I = 38, hkl 2 0 1; 77.00 deg, I = 19, hkl 1 1 2; 84.39 deg, I = 19, hkl 3 1 1; 61.35 deg, I = 19, hkl 3 0 0; 72.18 deg, I = 11, hkl 2 2 0; 39.77 deg, I = 7, hkl 2 0 0

Crystal structure
```
data_Zr2Np
_chemical_formula_sum 'Zr2 Np1'
_cell_length_a 5.2347
_cell_length_b 5.2347
_cell_length_c 2.8115
_cell_angle_alpha 90.00
_cell_angle_beta 90.00
_cell_angle_gamma 120.00
_space_group_name_H-M_alt 'P 6/m m m'
_space_group_IT_number 191
_space_group_name_Hall '-P 6 2'
loop_
_atom_site_label
_atom_site_fract_x
_atom_site_fract_y
_atom_site_fract_z
Zr1 0.3333 0.6667 0.0000
Np1 0.0000 0.0000 0.5000
```

***

No. 2
# Ca2TlPb
Computed powder diffraction line list, copper Kα. Input: a DFT-relaxed cell (PBE, the Materials Project).
Intensities are scaled so that the largest is 100.

The 10 most intense peaks (2θ from 10° to 90°), by intensity:
32.22 deg, I = 100, hkl 2 2 0; 22.63 deg, I = 50, hkl 2 0 0; 57.44 deg, I = 39, hkl 4 2 2; 52.04 deg, I = 24, hkl 4 2 0; 46.20 deg, I = 18, hkl 4 0 0; 76.69 deg, I = 17, hkl 6 2 0; 39.73 deg, I = 16, hkl 2 2 2; 67.41 deg, I = 12, hkl 4 4 0; 72.11 deg, I = 12, hkl 6 0 0; 81.18 deg, I = 7, hkl 6 2 2

Crystal structure
```
data_Ca2TlPb
_chemical_formula_sum 'Ca8 Tl4 Pb4'
_cell_length_a 7.8591
_cell_length_b 7.8591
_cell_length_c 7.8591
_cell_angle_alpha 90.00
_cell_angle_beta 90.00
_cell_angle_gamma 90.00
_space_group_name_H-M_alt 'F m -3 m'
_space_group_IT_number 225
_space_group_name_Hall '-F 4 2 3'
loop_
_atom_site_label
_atom_site_fract_x
_atom_site_fract_y
_atom_site_fract_z
Ca1 0.2500 0.2500 0.2500
Tl1 0.0000 0.0000 0.0000
Pb1 0.0000 0.0000 0.5000
```

***

Which formula does entry 1 have? Zr2Np

***

What is the formula in the second record? Ca2TlPb